Theoretical powder diffraction line list of Mg6AlCrO8 for CuKα, from a cell relaxed with GGA+U.

Peak list (10 most intense, 15 to 90 degrees two-theta, by angle)
- d 3.057, I = 5
- d 2.488, I = 28
- d 2.407, I = 5
- d 2.182, I = 49
- d 2.141, I = 100
- d 1.528, I = 54
- d 1.514, I = 28
- d 1.311, I = 7
- d 1.293, I = 10
- d 1.244, I = 24

Atomic structure:
```
data_Mg6AlCrO8
_chemical_formula_sum 'Mg6 Al1 Cr1 O8'
_space_group_name_H-M_alt 'P 4/m m m'
_space_group_IT_number 123
_space_group_name_Hall '-P 4 2'
_cell_length_a 4.282
_cell_length_b 4.282
_cell_length_c 8.728
_cell_angle_alpha 90.00
_cell_angle_beta 90.00
_cell_angle_gamma 90.00
loop_
_atom_site_label
_atom_site_type_symbol
_atom_site_fract_x
_atom_site_fract_y
_atom_site_fract_z
Mg1 Mg 0.000 0.000 0.000
Mg2 Mg 0.000 0.000 0.500
Mg3 Mg 0.000 0.500 0.248
Al1 Al 0.500 0.500 0.500
Cr1 Cr 0.500 0.500 0.000
O1 O 0.000 0.000 0.252
O2 O 0.000 0.500 0.000
O3 O 0.000 0.500 0.500
O4 O 0.500 0.500 0.291
```